Theoretical X-ray diffraction stick pattern of Nb5Ru for Cu Kα, 1.54184 Å, from DFT lattice parameters and positions (PBE).
Neutral-atom scattering factors, no anomalous dispersion.

Structure:
a = 3.262 Å, b = 3.262 Å, c = 9.833 Å
α = 90.00°, β = 90.00°, γ = 90.00°
Fractional positions:
Nb 0.000 0.000 0.000
Nb 0.000 0.000 0.340
Nb 0.000 0.000 0.660
Nb 0.500 0.500 0.169
Nb 0.500 0.500 0.831
Ru 0.500 0.500 0.500

Principal peaks in the range 2θ from 15° to 90°, sorted by position:
2θ (°)  I (rel.)
39.0  100
56.1  6
56.4  11
70.5  11
70.7  22
83.7  7
83.9  3


Theoretical X-ray diffraction stick pattern of Nb5SbRu6 for Cu Kα, 1.54184 Å, from DFT lattice parameters and positions (PBE).
Neutral-atom scattering factors, no anomalous dispersion.

Structure:
a = 7.626 Å, b = 7.626 Å, c = 7.626 Å
α = 146.93°, β = 125.73°, γ = 65.04°
Fractional positions:
Nb 0.000 0.000 0.000
Nb 0.146 0.646 0.500
Nb 0.320 0.320 0.000
Nb 0.680 0.680 0.000
Nb 0.854 0.354 0.500
Sb 0.500 0.000 0.500
Ru 0.095 0.831 0.265
Ru 0.276 0.500 0.776
Ru 0.434 0.169 0.265
Ru 0.566 0.831 0.735
Ru 0.724 0.500 0.224
Ru 0.905 0.169 0.735

Principal peaks in the range 2θ from 15° to 90°, sorted by position:
2θ (°)  I (rel.)
39.3  100
41.6  23
42.2  19
52.6  10
60.7  13
69.2  9
69.6  7
74.4  15
75.1  13
84.5  9


Theoretical X-ray diffraction stick pattern of Sc2Nb2Ru3 for Cu Kα, 1.54184 Å, from DFT lattice parameters and positions (PBE).
Neutral-atom scattering factors, no anomalous dispersion.

Structure:
a = 3.151 Å, b = 24.163 Å, c = 3.141 Å
α = 90.00°, β = 90.00°, γ = 90.00°
Fractional positions:
Sc 0.000 0.066 0.000
Sc 0.000 0.934 0.000
Sc 0.500 0.434 0.000
Sc 0.500 0.566 0.000
Nb 0.000 0.201 0.000
Nb 0.000 0.799 0.000
Nb 0.500 0.299 0.000
Nb 0.500 0.701 0.000
Ru 0.000 0.362 0.500
Ru 0.000 0.500 0.500
Ru 0.000 0.638 0.500
Ru 0.500 0.000 0.500
Ru 0.500 0.138 0.500
Ru 0.500 0.862 0.500

Principal peaks in the range 2θ from 15° to 90°, sorted by position:
2θ (°)  I (rel.)
22.1  24
29.4  19
36.3  20
38.7  100
40.7  80
41.5  67
42.1  20
72.4  31
72.6  29
74.3  22


Theoretical X-ray diffraction stick pattern of Sc3NbRu4 for Cu Kα, 1.54184 Å, from DFT lattice parameters and positions (PBE).
Neutral-atom scattering factors, no anomalous dispersion.

Structure:
a = 4.521 Å, b = 4.521 Å, c = 12.799 Å
α = 90.00°, β = 90.00°, γ = 90.00°
Fractional positions:
Sc 0.000 0.000 0.000
Sc 0.000 0.000 0.249
Sc 0.000 0.000 0.751
Sc 0.500 0.500 0.251
Sc 0.500 0.500 0.500
Sc 0.500 0.500 0.749
Nb 0.000 0.000 0.500
Nb 0.500 0.500 0.000
Ru 0.000 0.500 0.121
Ru 0.000 0.500 0.379
Ru 0.000 0.500 0.621
Ru 0.000 0.500 0.879
Ru 0.500 0.000 0.121
Ru 0.500 0.000 0.379
Ru 0.500 0.000 0.621
Ru 0.500 0.000 0.879

Principal peaks in the range 2θ from 15° to 90°, sorted by position:
2θ (°)  I (rel.)
20.8  2
27.9  11
28.8  1
39.9  100
49.4  3
51.5  1
57.7  16
65.2  4
72.4  32
86.0  10


Theoretical X-ray diffraction stick pattern of NbRuSe2 for Cu Kα, 1.54184 Å, from DFT lattice parameters and positions (PBE).
Neutral-atom scattering factors, no anomalous dispersion.

Structure:
a = 5.784 Å, b = 5.784 Å, c = 10.832 Å
α = 90.00°, β = 90.00°, γ = 90.00°
Fractional positions:
Nb 0.000 0.000 0.000
Nb 0.000 0.500 0.250
Nb 0.500 0.000 0.750
Nb 0.500 0.500 0.500
Ru 0.000 0.000 0.500
Ru 0.000 0.500 0.750
Ru 0.500 0.000 0.250
Ru 0.500 0.500 0.000
Se 0.232 0.250 0.625
Se 0.250 0.732 0.875
Se 0.250 0.768 0.375
Se 0.268 0.250 0.125
Se 0.732 0.750 0.125
Se 0.750 0.232 0.375
Se 0.750 0.268 0.875
Se 0.768 0.750 0.625

Principal peaks in the range 2θ from 15° to 90°, sorted by position:
2θ (°)  I (rel.)
27.3  100
44.3  25
45.9  46
52.8  30
55.7  13
64.4  8
73.7  11
82.7  16
86.1  7
88.0  7


Theoretical X-ray diffraction stick pattern of NbRuSe3 for Cu Kα, 1.54184 Å, from DFT lattice parameters and positions (PBE).
Neutral-atom scattering factors, no anomalous dispersion.

Structure:
a = 3.486 Å, b = 12.040 Å, c = 12.040 Å
α = 150.56°, β = 90.00°, γ = 90.00°
Fractional positions:
Nb 0.250 0.172 0.828
Nb 0.750 0.828 0.172
Ru 0.250 0.190 0.452
Ru 0.750 0.452 0.190
Se 0.250 0.247 0.106
Se 0.250 0.581 0.846
Se 0.250 0.981 0.447
Se 0.750 0.106 0.247
Se 0.750 0.447 0.981
Se 0.750 0.846 0.581

Principal peaks in the range 2θ from 15° to 90°, sorted by position:
2θ (°)  I (rel.)
15.2  100
29.7  60
31.7  60
34.6  34
37.4  27
40.0  60
42.3  46
46.9  69
52.5  29
53.4  40


Theoretical X-ray diffraction stick pattern of NbRuSe2 for Cu Kα, 1.54184 Å, from DFT lattice parameters and positions (PBE).
Neutral-atom scattering factors, no anomalous dispersion.

Structure:
a = 6.365 Å, b = 6.365 Å, c = 6.365 Å
α = 90.00°, β = 90.00°, γ = 90.00°
Fractional positions:
Nb 0.000 0.000 0.000
Nb 0.000 0.500 0.500
Nb 0.500 0.000 0.500
Nb 0.500 0.500 0.000
Ru 0.000 0.000 0.500
Ru 0.000 0.500 0.000
Ru 0.500 0.000 0.000
Ru 0.500 0.500 0.500
Se 0.250 0.250 0.250
Se 0.250 0.250 0.750
Se 0.250 0.750 0.250
Se 0.250 0.750 0.750
Se 0.750 0.250 0.250
Se 0.750 0.250 0.750
Se 0.750 0.750 0.250
Se 0.750 0.750 0.750

Principal peaks in the range 2θ from 15° to 90°, sorted by position:
2θ (°)  I (rel.)
28.0  2
40.1  100
58.0  17
65.6  1
72.8  33
86.5  11


Theoretical X-ray diffraction stick pattern of U2NbSi2Ru5 for Cu Kα, 1.54184 Å, from DFT lattice parameters and positions (PBE).
Neutral-atom scattering factors, no anomalous dispersion.

Structure:
a = 9.889 Å, b = 9.889 Å, c = 3.388 Å
α = 90.00°, β = 90.00°, γ = 90.00°
Fractional positions:
U 0.176 0.324 0.000
U 0.324 0.824 0.000
U 0.676 0.176 0.000
U 0.824 0.676 0.000
Nb 0.000 0.000 0.000
Nb 0.500 0.500 0.000
Si 0.122 0.622 0.000
Si 0.378 0.122 0.000
Si 0.622 0.878 0.000
Si 0.878 0.378 0.000
Ru 0.000 0.500 0.500
Ru 0.071 0.789 0.500
Ru 0.211 0.071 0.500
Ru 0.289 0.571 0.500
Ru 0.429 0.289 0.500
Ru 0.500 0.000 0.500
Ru 0.571 0.711 0.500
Ru 0.711 0.429 0.500
Ru 0.789 0.929 0.500
Ru 0.929 0.211 0.500

Principal peaks in the range 2θ from 15° to 90°, sorted by position:
2θ (°)  I (rel.)
20.1  24
33.3  86
36.9  30
37.5  85
38.6  26
39.2  100
40.8  23
42.4  28
54.1  33
67.7  31


Theoretical X-ray diffraction stick pattern of Nb2VSi2Ru5 for Cu Kα, 1.54184 Å, from DFT lattice parameters and positions (PBE).
Neutral-atom scattering factors, no anomalous dispersion.

Structure:
a = 9.807 Å, b = 9.807 Å, c = 3.033 Å
α = 90.00°, β = 90.00°, γ = 90.00°
Fractional positions:
Nb 0.178 0.322 0.000
Nb 0.322 0.822 0.000
Nb 0.678 0.178 0.000
Nb 0.822 0.678 0.000
V 0.000 0.000 0.000
V 0.500 0.500 0.000
Si 0.130 0.630 0.000
Si 0.370 0.130 0.000
Si 0.630 0.870 0.000
Si 0.870 0.370 0.000
Ru 0.000 0.500 0.500
Ru 0.052 0.799 0.500
Ru 0.201 0.052 0.500
Ru 0.299 0.552 0.500
Ru 0.448 0.299 0.500
Ru 0.500 0.000 0.500
Ru 0.552 0.701 0.500
Ru 0.701 0.448 0.500
Ru 0.799 0.948 0.500
Ru 0.948 0.201 0.500

Principal peaks in the range 2θ from 15° to 90°, sorted by position:
2θ (°)  I (rel.)
34.8  16
36.0  31
37.8  76
39.0  42
39.5  32
41.7  100
44.8  32
47.7  17
61.1  17
74.2  20


Theoretical X-ray diffraction stick pattern of SmNbRu for Cu Kα, 1.54184 Å, from DFT lattice parameters and positions (PBE).
Neutral-atom scattering factors, no anomalous dispersion.

Structure:
a = 5.565 Å, b = 4.370 Å, c = 5.685 Å
α = 90.00°, β = 104.77°, γ = 90.00°
Fractional positions:
Sm 0.235 0.250 0.428
Sm 0.765 0.750 0.572
Nb 0.345 0.750 0.963
Nb 0.655 0.250 0.037
Ru 0.098 0.250 0.888
Ru 0.902 0.750 0.112

Principal peaks in the range 2θ from 15° to 90°, sorted by position:
2θ (°)  I (rel.)
26.3  55
28.6  29
32.6  89
33.2  100
38.7  63
39.2  60
39.3  52
40.5  38
41.3  59
53.6  43


Theoretical X-ray diffraction stick pattern of SmTaNbRu2 for Cu Kα, 1.54184 Å, from DFT lattice parameters and positions (PBE).
Neutral-atom scattering factors, no anomalous dispersion.

Structure:
a = 4.386 Å, b = 4.386 Å, c = 10.704 Å
α = 90.00°, β = 90.00°, γ = 90.00°
Fractional positions:
Sm 0.000 0.000 0.000
Sm 0.500 0.500 0.500
Ta 0.000 0.500 0.250
Ta 0.500 0.000 0.750
Nb 0.000 0.500 0.750
Nb 0.500 0.000 0.250
Ru 0.000 0.000 0.379
Ru 0.000 0.000 0.621
Ru 0.500 0.500 0.121
Ru 0.500 0.500 0.879

Principal peaks in the range 2θ from 15° to 90°, sorted by position:
2θ (°)  I (rel.)
32.3  48
33.4  100
41.2  56
44.7  27
47.2  20
53.3  23
59.6  19
59.8  14
64.4  15
70.1  25


Theoretical X-ray diffraction stick pattern of Ta4Nb9Ru11 for Cu Kα, 1.54184 Å, from DFT lattice parameters and positions (PBE).
Neutral-atom scattering factors, no anomalous dispersion.

Structure:
a = 11.539 Å, b = 11.539 Å, c = 3.026 Å
α = 90.00°, β = 90.00°, γ = 103.04°
Fractional positions:
Ta 0.084 0.241 0.000
Ta 0.241 0.084 0.000
Ta 0.759 0.916 0.000
Ta 0.916 0.759 0.000
Nb 0.000 0.000 0.000
Nb 0.104 0.653 0.000
Nb 0.297 0.487 0.000
Nb 0.347 0.896 0.000
Nb 0.487 0.297 0.000
Nb 0.513 0.703 0.000
Nb 0.653 0.104 0.000
Nb 0.703 0.513 0.000
Nb 0.896 0.347 0.000
Ru 0.104 0.448 0.500
Ru 0.133 0.867 0.500
Ru 0.292 0.292 0.500
Ru 0.310 0.690 0.500
Ru 0.448 0.104 0.500
Ru 0.500 0.500 0.500
Ru 0.552 0.896 0.500
Ru 0.690 0.310 0.500
Ru 0.708 0.708 0.500
Ru 0.867 0.133 0.500
Ru 0.896 0.552 0.500

Principal peaks in the range 2θ from 15° to 90°, sorted by position:
2θ (°)  I (rel.)
35.4  24
38.9  100
39.0  73
39.3  28
39.7  38
40.1  47
42.4  81
43.7  32
71.8  31
73.4  24


Theoretical X-ray diffraction stick pattern of Ta9Nb4Ru11 for Cu Kα, 1.54184 Å, from DFT lattice parameters and positions (PBE).
Neutral-atom scattering factors, no anomalous dispersion.

Structure:
a = 11.495 Å, b = 11.495 Å, c = 3.036 Å
α = 90.00°, β = 90.00°, γ = 102.19°
Fractional positions:
Ta 0.000 0.000 0.000
Ta 0.103 0.652 0.000
Ta 0.296 0.484 0.000
Ta 0.348 0.897 0.000
Ta 0.484 0.296 0.000
Ta 0.516 0.704 0.000
Ta 0.652 0.103 0.000
Ta 0.704 0.516 0.000
Ta 0.897 0.348 0.000
Nb 0.084 0.238 0.000
Nb 0.238 0.084 0.000
Nb 0.762 0.916 0.000
Nb 0.916 0.762 0.000
Ru 0.107 0.451 0.500
Ru 0.140 0.860 0.500
Ru 0.294 0.294 0.500
Ru 0.315 0.685 0.500
Ru 0.451 0.107 0.500
Ru 0.500 0.500 0.500
Ru 0.549 0.893 0.500
Ru 0.685 0.315 0.500
Ru 0.706 0.706 0.500
Ru 0.860 0.140 0.500
Ru 0.893 0.549 0.500

Principal peaks in the range 2θ from 15° to 90°, sorted by position:
2θ (°)  I (rel.)
38.8  100
39.2  84
39.4  64
40.1  61
42.5  69
43.6  35
61.0  23
71.6  30
73.8  31
75.0  25